Entry 1:
Structure and simulated powder diffraction line list of Tb2PmPrEr4 (DFT lattice parameters and positions (PBE); Cu Kα).
Intensities are scaled so that the largest is 100.

Largest 10 diffraction maxima, low angle first, 5° ≤ 2θ ≤ 70°:
d [Å], I (rel.), hkl
3.313, 45, 0 0 4
2.946, 100, 2 2 0
2.202, 89, 2 2 4
1.701, 20, 4 0 0
1.656, 6, 0 0 8
1.513, 27, 4 0 4
1.474, 4, 0 8 0
1.473, 8, 4 4 0
1.444, 23, 2 2 8
1.346, 18, 4 4 4

```
data_Tb2PmPrEr4
_chemical_formula_sum 'Tb8 Pm4 Pr4 Er16'
_cell_length_a 6.801
_cell_length_b 11.789
_cell_length_c 13.252
_cell_angle_alpha 90.00
_cell_angle_beta 90.00
_cell_angle_gamma 90.00
_space_group_name_H-M_alt 'I m m a'
_space_group_IT_number 74
_space_group_name_Hall '-I 2b 2'
loop_
_atom_site_label
_atom_site_type_symbol
_atom_site_fract_x
_atom_site_fract_y
_atom_site_fract_z
Tb1 Tb 0.000 0.000 0.000
Tb2 Tb 0.250 0.250 0.250
Pm1 Pm 0.000 0.000 0.500
Pr1 Pr 0.250 0.250 0.750
Er1 Er 0.000 0.003 0.249
Er2 Er 0.249 0.250 0.003
```

=====

Entry 2:
Structure and simulated powder diffraction line list of Pm2Pr5ErTh (DFT lattice parameters and positions (PBE); Cu Kα).
Intensities are scaled so that the largest is 100.

Largest 10 diffraction maxima, low angle first, 5° ≤ 2θ ≤ 70°:
d [Å], I (rel.), hkl
3.389, 13, 1 3 2
2.951, 16, 1 1 3
2.888, 100, 1 5 2
2.760, 21, 0 8 0
2.745, 30, 2 0 0
2.658, 19, 0 0 4
1.914, 10, 0 8 4
1.909, 15, 2 0 4
1.611, 18, 3 5 2
1.575, 10, 1 5 6

```
data_Pm2Pr5ErTh
_chemical_formula_sum 'Pm8 Pr20 Er4 Th4'
_cell_length_a 5.489
_cell_length_b 22.074
_cell_length_c 10.631
_cell_angle_alpha 90.00
_cell_angle_beta 90.00
_cell_angle_gamma 90.00
_space_group_name_H-M_alt 'C m c m'
_space_group_IT_number 63
_space_group_name_Hall '-C 2c 2'
loop_
_atom_site_label
_atom_site_type_symbol
_atom_site_fract_x
_atom_site_fract_y
_atom_site_fract_z
Pm1 Pm 0.000 0.113 0.003
Pr1 Pr 0.000 0.001 0.750
Pr2 Pr 0.000 0.277 0.558
Pr3 Pr 0.000 0.372 0.250
Pr4 Pr 0.000 0.500 0.000
Er1 Er 0.000 0.398 0.750
Th1 Th 0.000 0.210 0.250
```

=====

Entry 3:
Structure and simulated powder diffraction line list of Pm2PrEr4Tm (DFT lattice parameters and positions (PBE); Cu Kα).
Intensities are scaled so that the largest is 100.

Largest 10 diffraction maxima, low angle first, 5° ≤ 2θ ≤ 70°:
d [Å], I (rel.), hkl
3.307, 68, 0 2 2
2.954, 50, 0 2 -2
2.940, 100, 2 2 0
2.203, 44, 0 4 0
2.197, 88, 2 4 2
1.703, 20, 2 -2 4
1.514, 27, 2 0 6
1.508, 14, 4 4 4
1.470, 12, 4 0 4
1.442, 23, -2 4 2

```
data_Pm2PrEr4Tm
_chemical_formula_sum 'Pm4 Pr2 Er8 Tm2'
_cell_length_a 6.778
_cell_length_b 9.492
_cell_length_c 9.492
_cell_angle_alpha 76.98
_cell_angle_beta 69.13
_cell_angle_gamma 69.12
_space_group_name_H-M_alt 'P -1'
_space_group_IT_number 2
loop_
_space_group_symop_operation_xyz
'x,y,z'
'-x,-y,-z'
loop_
_atom_site_label
_atom_site_type_symbol
_atom_site_fract_x
_atom_site_fract_y
_atom_site_fract_z
Pm1 Pm 0.000 0.000 0.000
Pm2 Pm 0.000 0.000 0.500
Pm3 Pm 0.000 0.500 0.000
Pm4 Pm 0.500 0.000 0.000
Pr1 Pr 0.500 0.000 0.500
Pr2 Pr 0.500 0.500 0.000
Er1 Er 0.244 0.256 0.255
Er2 Er 0.249 0.745 0.255
Er3 Er 0.251 0.255 0.745
Er4 Er 0.255 0.744 0.745
Tm1 Tm 0.000 0.500 0.500
Tm2 Tm 0.500 0.500 0.500
```

=====

Entry 4:
Structure and simulated powder diffraction line list of PmErPt6 (DFT lattice parameters and positions (PBE); Cu Kα).
Intensities are scaled so that the largest is 100.

Largest 6 diffraction maxima, low angle first, 5° ≤ 2θ ≤ 70°:
d [Å], I (rel.), hkl
8.280, 1, 0 0 1
4.141, 1, 1 0 0
2.928, 1, 1 1 0
2.391, 100, 1 1 2
2.071, 49, 2 0 0
1.464, 33, 2 2 0

```
data_PmErPt6
_chemical_formula_sum 'Pm1 Er1 Pt6'
_cell_length_a 4.141
_cell_length_b 4.141
_cell_length_c 8.280
_cell_angle_alpha 90.00
_cell_angle_beta 90.00
_cell_angle_gamma 90.00
_space_group_name_H-M_alt 'P 4/m m m'
_space_group_IT_number 123
_space_group_name_Hall '-P 4 2'
loop_
_atom_site_label
_atom_site_type_symbol
_atom_site_fract_x
_atom_site_fract_y
_atom_site_fract_z
Pm1 Pm 0.000 0.000 0.000
Er1 Er 0.000 0.000 0.500
Pt1 Pt 0.000 0.500 0.256
Pt2 Pt 0.500 0.500 0.000
Pt3 Pt 0.500 0.500 0.500
```

=====

Entry 5:
Structure and simulated powder diffraction line list of Pm3Er2Pt2 (DFT lattice parameters and positions (PBE); Cu Kα).
Intensities are scaled so that the largest is 100.

Largest 10 diffraction maxima, low angle first, 5° ≤ 2θ ≤ 70°:
d [Å], I (rel.), hkl
2.919, 44, 1 0 2
2.806, 100, 0 1 3
2.675, 52, -1 1 1
2.636, 53, 1 -1 1
2.590, 28, 0 2 -1
2.550, 31, 1 1 3
2.345, 42, 1 1 -2
1.906, 32, 2 1 1
1.642, 18, 1 2 -3
1.577, 20, 2 2 4

```
data_Pm3Er2Pt2
_chemical_formula_sum 'Pm3 Er2 Pt2'
_cell_length_a 3.812
_cell_length_b 6.504
_cell_length_c 8.783
_cell_angle_alpha 71.27
_cell_angle_beta 77.48
_cell_angle_gamma 72.96
_space_group_name_H-M_alt 'P -1'
_space_group_IT_number 2
loop_
_space_group_symop_operation_xyz
'x,y,z'
'-x,-y,-z'
loop_
_atom_site_label
_atom_site_type_symbol
_atom_site_fract_x
_atom_site_fract_y
_atom_site_fract_z
Pm1 Pm 0.000 0.000 0.000
Pm2 Pm 0.113 0.207 0.566
Er1 Er 0.332 0.520 0.816
Pt1 Pt 0.321 0.125 0.234
```

=====

Entry 6:
Structure and simulated powder diffraction line list of Pm2Er5Pt4 (DFT lattice parameters and positions (PBE); Cu Kα).
Intensities are scaled so that the largest is 100.

Largest 10 diffraction maxima, low angle first, 5° ≤ 2θ ≤ 70°:
d [Å], I (rel.), hkl
5.577, 38, 2 0 1
3.746, 34, 1 1 0
3.104, 62, 4 0 -2
2.980, 44, 3 1 1
2.922, 61, 5 1 0
2.549, 38, 1 1 -2
2.532, 54, 8 0 1
2.476, 100, 3 1 -2
2.077, 61, 9 1 -1
1.898, 52, 0 2 0

```
data_Pm2Er5Pt4
_chemical_formula_sum 'Pm4 Er10 Pt8'
_cell_length_a 23.046
_cell_length_b 3.797
_cell_length_c 6.879
_cell_angle_alpha 90.00
_cell_angle_beta 96.87
_cell_angle_gamma 90.00
_space_group_name_H-M_alt 'C 1 2/m 1'
_space_group_IT_number 12
loop_
_space_group_symop_operation_xyz
'x,y,z'
'-x,-y,-z'
'-x,y,-z'
'x,-y,z'
'x+1/2,y+1/2,z'
'-x+1/2,-y+1/2,-z'
'-x+1/2,y+1/2,-z'
'x+1/2,-y+1/2,z'
loop_
_atom_site_label
_atom_site_type_symbol
_atom_site_fract_x
_atom_site_fract_y
_atom_site_fract_z
Pm1 Pm 0.103 0.000 0.406
Er1 Er 0.000 0.500 0.000
Er2 Er 0.133 0.000 0.908
Er3 Er 0.228 0.500 0.271
Pt1 Pt 0.022 0.000 0.713
Pt2 Pt 0.182 0.500 0.656
```

=====

Entry 7:
Structure and simulated powder diffraction line list of Pm2ErSb3Pt4 (DFT lattice parameters and positions (PBE); Cu Kα).
Intensities are scaled so that the largest is 100.

Largest 10 diffraction maxima, low angle first, 5° ≤ 2θ ≤ 70°:
d [Å], I (rel.), hkl
2.913, 31, 1 0 3
2.781, 100, 1 1 2
2.249, 65, 2 0 0
2.129, 51, 1 1 4
2.043, 19, 1 0 5
1.780, 15, 2 1 3
1.590, 22, 2 2 0
1.512, 14, 2 1 5
1.456, 15, 2 0 6
1.380, 23, 3 1 2

```
data_Pm2ErSb3Pt4
_chemical_formula_sum 'Pm2 Er1 Sb3 Pt4'
_cell_length_a 4.498
_cell_length_b 4.498
_cell_length_c 11.466
_cell_angle_alpha 90.00
_cell_angle_beta 90.00
_cell_angle_gamma 90.00
_space_group_name_H-M_alt 'P -4 m 2'
_space_group_IT_number 115
loop_
_space_group_symop_operation_xyz
'x,y,z'
'y,-x,-z'
'-x,-y,z'
'-y,x,-z'
'-x,y,z'
'-y,-x,-z'
'x,-y,z'
'y,x,-z'
loop_
_atom_site_label
_atom_site_type_symbol
_atom_site_fract_x
_atom_site_fract_y
_atom_site_fract_z
Pm1 Pm 0.000 0.500 0.213
Er1 Er 0.000 0.000 0.500
Sb1 Sb 0.000 0.500 0.868
Sb2 Sb 0.500 0.500 0.500
Pt1 Pt 0.000 0.000 0.000
Pt2 Pt 0.000 0.500 0.642
Pt3 Pt 0.500 0.500 0.000
```

=====

Entry 8:
Structure and simulated powder diffraction line list of Pm8Er3Pu (DFT lattice parameters and positions (PBE); Cu Kα).
Intensities are scaled so that the largest is 100.

Largest 10 diffraction maxima, low angle first, 5° ≤ 2θ ≤ 70°:
d [Å], I (rel.), hkl
2.933, 100, 2 0 0
2.552, 17, 2 2 2
2.542, 17, 1 -2 1
2.527, 17, 1 0 -3
1.801, 12, 1 4 1
1.795, 18, 1 2 5
1.537, 15, 3 4 1
1.533, 11, 0 4 -2
1.527, 7, 3 0 -3
1.525, 7, 0 0 6

```
data_Pm8Er3Pu
_chemical_formula_sum 'Pm8 Er3 Pu1'
_cell_length_a 6.237
_cell_length_b 7.210
_cell_length_c 9.475
_cell_angle_alpha 78.89
_cell_angle_beta 77.02
_cell_angle_gamma 73.02
_space_group_name_H-M_alt 'P 1'
_space_group_IT_number 1
loop_
_space_group_symop_operation_xyz
'x,y,z'
loop_
_atom_site_label
_atom_site_type_symbol
_atom_site_fract_x
_atom_site_fract_y
_atom_site_fract_z
Pm1 Pm 0.000 0.000 0.000
Pm2 Pm 0.000 0.497 0.000
Pm3 Pm 0.491 0.836 0.163
Pm4 Pm 0.496 0.331 0.165
Pm5 Pm 0.502 0.000 0.495
Pm6 Pm 0.509 0.495 0.497
Pm7 Pm 0.998 0.835 0.660
Pm8 Pm 0.999 0.331 0.660
Er1 Er 0.000 0.666 0.330
Er2 Er 0.499 0.165 0.830
Er3 Er 0.499 0.665 0.830
Pu1 Pu 0.999 0.166 0.330
```

=====

Entry 9:
Structure and simulated powder diffraction line list of Pm5Er12Pu (DFT lattice parameters and positions (PBE); Cu Kα).
Intensities are scaled so that the largest is 100.

Largest 10 diffraction maxima, low angle first, 5° ≤ 2θ ≤ 70°:
d [Å], I (rel.), hkl
3.275, 31, 1 3 0
2.929, 88, 1 3 -2
2.879, 87, 4 0 -2
2.853, 100, 2 0 2
2.747, 83, 2 0 -4
2.559, 46, 3 3 -1
2.494, 32, 1 3 -3
2.411, 47, 3 3 0
1.601, 31, 0 0 6
1.465, 32, 2 6 -4

```
data_Pm5Er12Pu
_chemical_formula_sum 'Pm10 Er24 Pu2'
_cell_length_a 11.529
_cell_length_b 10.387
_cell_length_c 10.987
_cell_angle_alpha 90.00
_cell_angle_beta 119.04
_cell_angle_gamma 90.00
_space_group_name_H-M_alt 'C 1 2/m 1'
_space_group_IT_number 12
loop_
_space_group_symop_operation_xyz
'x,y,z'
'-x,-y,-z'
'-x,y,-z'
'x,-y,z'
'x+1/2,y+1/2,z'
'-x+1/2,-y+1/2,-z'
'-x+1/2,y+1/2,-z'
'x+1/2,-y+1/2,z'
loop_
_atom_site_label
_atom_site_type_symbol
_atom_site_fract_x
_atom_site_fract_y
_atom_site_fract_z
Pm1 Pm 0.000 0.000 0.000
Pm2 Pm 0.000 0.172 0.500
Pm3 Pm 0.000 0.335 0.000
Er1 Er 0.158 0.500 0.842
Er2 Er 0.162 0.166 0.849
Er3 Er 0.189 0.500 0.333
Er4 Er 0.194 0.165 0.329
Pu1 Pu 0.000 0.500 0.500
```

=====

Entry 10:
Structure and simulated powder diffraction line list of Pm4ErPu3S8 (DFT lattice parameters and positions (PBE); Cu Kα).
Intensities are scaled so that the largest is 100.

Largest 10 diffraction maxima, low angle first, 5° ≤ 2θ ≤ 70°:
d [Å], I (rel.), hkl
3.268, 23, 0 0 6
3.245, 68, 2 0 2
2.815, 100, 0 2 4
1.996, 37, 2 0 8
1.986, 36, 2 2 0
1.703, 12, 0 2 10
1.697, 23, 2 2 6
1.694, 11, 0 4 2
1.623, 19, 4 0 4
1.408, 12, 0 4 8

```
data_Pm4ErPu3S8
_chemical_formula_sum 'Pm12 Er3 Pu9 S24'
_cell_length_a 7.9428
_cell_length_b 7.9428
_cell_length_c 19.6057
_cell_angle_alpha 90.00
_cell_angle_beta 90.00
_cell_angle_gamma 120.00
_space_group_name_H-M_alt 'R -3 m'
_space_group_IT_number 166
_space_group_name_Hall '-R 3 2"'
loop_
_atom_site_label
_atom_site_type_symbol
_atom_site_fract_x
_atom_site_fract_y
_atom_site_fract_z
Pm1 Pm 0.0000 0.0000 0.0000
Pm2 Pm 0.0000 0.5000 0.0000
Er1 Er 0.0000 0.0000 0.5000
Pu1 Pu 0.0000 0.5000 0.5000
S1 S 0.0000 0.0000 0.2472
S2 S 0.0033 0.5017 0.2467
```

=====

Entry 11:
Structure and simulated powder diffraction line list of PmEr2Rh (DFT lattice parameters and positions (PBE); Cu Kα).
Intensities are scaled so that the largest is 100.

Largest 10 diffraction maxima, low angle first, 5° ≤ 2θ ≤ 70°:
d [Å], I (rel.), hkl
2.969, 51, 2 1 1
2.915, 46, 1 0 2
2.855, 67, 2 2 0
2.817, 93, 0 3 1
2.785, 100, 1 1 2
2.622, 65, 1 3 1
2.606, 82, 2 2 1
2.479, 44, 1 2 2
2.363, 43, 2 3 0
1.558, 37, 4 3 0

```
data_PmEr2Rh
_chemical_formula_sum 'Pm4 Er8 Rh4'
_cell_length_a 7.179
_cell_length_b 9.417
_cell_length_c 6.380
_cell_angle_alpha 90.00
_cell_angle_beta 90.00
_cell_angle_gamma 90.00
_space_group_name_H-M_alt 'P n m a'
_space_group_IT_number 62
loop_
_space_group_symop_operation_xyz
'x,y,z'
'-x,-y,-z'
'-x+1/2,-y,z+1/2'
'x+1/2,y,-z+1/2'
'x+1/2,-y+1/2,-z+1/2'
'-x+1/2,y+1/2,z+1/2'
'-x,y+1/2,-z'
'x,-y+1/2,z'
loop_
_atom_site_label
_atom_site_type_symbol
_atom_site_fract_x
_atom_site_fract_y
_atom_site_fract_z
Pm1 Pm 0.034 0.250 0.136
Er1 Er 0.176 0.064 0.669
Rh1 Rh 0.117 0.750 0.432
```

=====

Entry 12:
Structure and simulated powder diffraction line list of Pm2ErSb3Rh4 (DFT lattice parameters and positions (PBE); Cu Kα).
Intensities are scaled so that the largest is 100.

Largest 10 diffraction maxima, low angle first, 5° ≤ 2θ ≤ 70°:
d [Å], I (rel.), hkl
2.877, 40, 1 0 3
2.721, 100, 1 1 2
2.186, 57, 2 0 0
2.102, 30, 1 1 4
2.030, 23, 1 0 5
1.740, 22, 2 1 3
1.625, 7, 1 1 6
1.546, 19, 2 2 0
1.488, 17, 2 1 5
1.361, 6, 3 0 3

```
data_Pm2ErSb3Rh4
_chemical_formula_sum 'Pm2 Er1 Sb3 Rh4'
_cell_length_a 4.372
_cell_length_b 4.372
_cell_length_c 11.463
_cell_angle_alpha 90.00
_cell_angle_beta 90.00
_cell_angle_gamma 90.00
_space_group_name_H-M_alt 'P -4 m 2'
_space_group_IT_number 115
loop_
_space_group_symop_operation_xyz
'x,y,z'
'y,-x,-z'
'-x,-y,z'
'-y,x,-z'
'-x,y,z'
'-y,-x,-z'
'x,-y,z'
'y,x,-z'
loop_
_atom_site_label
_atom_site_type_symbol
_atom_site_fract_x
_atom_site_fract_y
_atom_site_fract_z
Pm1 Pm 0.000 0.500 0.227
Er1 Er 0.000 0.000 0.500
Sb1 Sb 0.000 0.500 0.868
Sb2 Sb 0.500 0.500 0.500
Rh1 Rh 0.000 0.000 0.000
Rh2 Rh 0.000 0.500 0.645
Rh3 Rh 0.500 0.500 0.000
```

=====

> What is the formula in the tenth record?

Pm4ErPu3S8

=====

Repeat the first record exactly.
Structure and simulated powder diffraction line list of Tb2PmPrEr4 (DFT lattice parameters and positions (PBE); Cu Kα).
Intensities are scaled so that the largest is 100.

Largest 10 diffraction maxima, low angle first, 5° ≤ 2θ ≤ 70°:
d [Å], I (rel.), hkl
3.313, 45, 0 0 4
2.946, 100, 2 2 0
2.202, 89, 2 2 4
1.701, 20, 4 0 0
1.656, 6, 0 0 8
1.513, 27, 4 0 4
1.474, 4, 0 8 0
1.473, 8, 4 4 0
1.444, 23, 2 2 8
1.346, 18, 4 4 4

```
data_Tb2PmPrEr4
_chemical_formula_sum 'Tb8 Pm4 Pr4 Er16'
_cell_length_a 6.801
_cell_length_b 11.789
_cell_length_c 13.252
_cell_angle_alpha 90.00
_cell_angle_beta 90.00
_cell_angle_gamma 90.00
_space_group_name_H-M_alt 'I m m a'
_space_group_IT_number 74
_space_group_name_Hall '-I 2b 2'
loop_
_atom_site_label
_atom_site_type_symbol
_atom_site_fract_x
_atom_site_fract_y
_atom_site_fract_z
Tb1 Tb 0.000 0.000 0.000
Tb2 Tb 0.250 0.250 0.250
Pm1 Pm 0.000 0.000 0.500
Pr1 Pr 0.250 0.250 0.750
Er1 Er 0.000 0.003 0.249
Er2 Er 0.249 0.250 0.003
```